Starting from a cell relaxed with GGA-PBE, the powder XRD pattern of CsRb2TbCl6 was simulated for CuKα.
Intensities are scaled so that the largest is 100.

Cell and atoms:
Lattice parameters (Å, degrees): 7.918 8.399 13.707 90.00 124.48 90.00
Space group P2_1/c (No. 14)
Symmetry-distinct sites (fractional):
Cs: 0.000 0.000 0.000 x2
Rb: 0.214 0.071 0.743 x4
Tb: 0.500 0.000 0.500 x2
Cl: 0.172 0.171 0.441 x4
Cl: 0.263 0.739 0.416 x4
Cl: 0.423 0.065 0.287 x4

Top 8 peaks for 2θ from 10° to 80°, low angle first:
2θ (°)	Rel. int.
15.38	42.8
21.16	38.1
21.92	100.0
22.15	96.8
22.46	34.6
31.05	52.8
38.96	45.5
39.41	49.4